For TlTeWO6, a crystal structure in Alexandria, relaxed with GGA+U gives the simulated XRD peak list in this record (Cu Kα (λ = 1.5418 Å)).
Kinematic intensities with the Lorentz-polarization factor, no thermal factor.

Main lines, low angle first (2θ from 5° to 70°):
- 2θ 23.68, intensity 100
- 2θ 28.76, intensity 15
- 2θ 32.88, intensity 35
- 2θ 40.92, intensity 20
- 2θ 44.23, intensity 41
- 2θ 48.00, intensity 13
- 2θ 53.46, intensity 22
- 2θ 66.66, intensity 10

Structure:
```
data_TlTeWO6
_symmetry_space_group_name_H-M 'P 3 1 2'
_symmetry_Int_Tables_number 149
_cell_length_a 5.4484
_cell_length_b 5.4484
_cell_length_c 6.2084
_cell_angle_alpha 90.00
_cell_angle_beta 90.00
_cell_angle_gamma 120.00
loop_
_symmetry_equiv_pos_as_xyz
'x,y,z'
'-y,x-y,z'
'-x+y,-x,z'
'-y,-x,-z'
'-x+y,y,-z'
'x,x-y,-z'
loop_
_atom_site_label
_atom_site_fract_x
_atom_site_fract_y
_atom_site_fract_z
_atom_site_occupancy
Tl1 0.0000 0.0000 0.0000 1
Te1 0.6667 0.3333 0.5000 1
W1 0.3333 0.6667 0.5000 1
O1 0.0078 0.4081 0.6827 1
```